1.
# DyHfTa
Computed powder diffraction line list, Cu Kα (weighted mean of Kα1 and Kα2). Input: the GGA-PBE geometry in Alexandria.
Peak positions follow from Bragg's law for the DFT cell and can differ from measured ones.

Structural model:
Lattice parameters (Å, degrees): 15.371 15.371 15.371 12.23 12.23 12.23
Positions (direct):
Dy  0.132  0.132  0.132
Dy  0.868  0.868  0.868
Hf  0.406  0.406  0.406
Hf  0.594  0.594  0.594
Ta  0.311  0.311  0.311
Ta  0.689  0.689  0.689

Largest 12 diffraction maxima, sorted by position, 10° ≤ 2θ ≤ 90°:
2θ = 29.27°, I 14.6; 2θ = 32.53°, I 51.7; 2θ = 34.47°, I 57.1; 2θ = 35.30°, I 18.5; 2θ = 37.30°, I 24.5; 2θ = 38.41°, I 100.0; 2θ = 41.44°, I 11.7; 2θ = 54.72°, I 24.0; 2θ = 56.17°, I 38.1; 2θ = 68.11°, I 16.4; 2θ = 70.11°, I 17.3; 2θ = 72.16°, I 15.3

=====

2.
# LiNdFeH6
Computed powder diffraction line list, Cu Kα (weighted mean of Kα1 and Kα2). Input: the GGA-PBE geometry in Alexandria.
Peak positions follow from Bragg's law for the DFT cell and can differ from measured ones.

Structural model:
Lattice parameters (Å, degrees): 4.484 4.484 4.275 90.00 90.00 120.00
Positions (direct):
Li  0.000  0.000  0.000
Nd  0.667  0.333  0.500
Fe  0.333  0.667  0.000
H  0.184  0.369  0.252
H  0.184  0.369  0.748
H  0.184  0.816  0.252
H  0.184  0.816  0.748
H  0.631  0.816  0.252
H  0.631  0.816  0.748

Largest 12 diffraction maxima, sorted by position, 10° ≤ 2θ ≤ 90°:
2θ = 20.78°, I 8.4; 2θ = 22.90°, I 45.4; 2θ = 31.11°, I 100.0; 2θ = 40.22°, I 31.5; 2θ = 42.28°, I 8.7; 2θ = 45.69°, I 6.9; 2θ = 46.79°, I 7.8; 2θ = 48.62°, I 13.1; 2θ = 51.71°, I 23.6; 2θ = 59.77°, I 19.8; 2θ = 67.46°, I 20.8; 2θ = 70.37°, I 9.1

=====

3.
# Ho3AgSb
Computed powder diffraction line list, Cu Kα (weighted mean of Kα1 and Kα2). Input: the GGA-PBE geometry in Alexandria.
Peak positions follow from Bragg's law for the DFT cell and can differ from measured ones.

Structural model:
Lattice parameters (Å, degrees): 6.341 5.296 8.679 90.00 90.00 90.00
Positions (direct):
Ho  0.000  0.000  0.000
Ho  0.250  0.000  0.357
Ho  0.250  0.500  0.765
Ho  0.500  0.000  0.000
Ho  0.750  0.000  0.643
Ho  0.750  0.500  0.235
Ag  0.250  0.000  0.687
Ag  0.750  0.000  0.313
Sb  0.250  0.500  0.142
Sb  0.750  0.500  0.858

Largest 12 diffraction maxima, sorted by position, 10° ≤ 2θ ≤ 90°:
2θ = 10.19°, I 33.5; 2θ = 26.56°, I 33.1; 2θ = 28.15°, I 42.4; 2θ = 33.85°, I 86.4; 2θ = 34.06°, I 34.0; 2θ = 34.55°, I 100.0; 2θ = 35.05°, I 64.9; 2θ = 35.36°, I 98.9; 2θ = 45.82°, I 29.8; 2θ = 49.52°, I 48.6; 2θ = 69.04°, I 26.2; 2θ = 69.97°, I 26.6

=====

4.
# Ca9AlCo2
Computed powder diffraction line list, Cu Kα (weighted mean of Kα1 and Kα2). Input: the GGA-PBE geometry in Alexandria.
Peak positions follow from Bragg's law for the DFT cell and can differ from measured ones.

Structural model:
Lattice parameters (Å, degrees): 10.646 10.646 4.113 90.00 90.00 120.00
Positions (direct):
Ca  0.000  0.500  0.000
Ca  0.207  0.414  0.500
Ca  0.207  0.793  0.500
Ca  0.414  0.207  0.500
Ca  0.500  0.000  0.000
Ca  0.500  0.500  0.000
Ca  0.586  0.793  0.500
Ca  0.793  0.207  0.500
Ca  0.793  0.586  0.500
Al  0.000  0.000  0.000
Co  0.333  0.667  0.000
Co  0.667  0.333  0.000

Largest 12 diffraction maxima, sorted by position, 10° ≤ 2θ ≤ 90°:
2θ = 27.41°, I 22.6; 2θ = 29.10°, I 35.1; 2θ = 33.70°, I 100.0; 2θ = 35.09°, I 11.5; 2θ = 36.50°, I 24.5; 2θ = 40.37°, I 12.1; 2θ = 42.75°, I 9.7; 2θ = 44.04°, I 12.6; 2θ = 54.54°, I 13.4; 2θ = 56.56°, I 17.3; 2θ = 57.48°, I 8.8; 2θ = 64.78°, I 11.4

=====

5.
# AcDy2Cu2Ge2
Computed powder diffraction line list, Cu Kα (weighted mean of Kα1 and Kα2). Input: the GGA-PBE geometry in Alexandria.
Peak positions follow from Bragg's law for the DFT cell and can differ from measured ones.

Structural model:
Lattice parameters (Å, degrees): 10.016 10.016 10.016 25.22 25.22 25.22
Positions (direct):
Ac  0.000  0.000  0.000
Dy  0.129  0.129  0.129
Dy  0.871  0.871  0.871
Cu  0.411  0.411  0.411
Cu  0.589  0.589  0.589
Ge  0.254  0.254  0.254
Ge  0.746  0.746  0.746

Largest 12 diffraction maxima, sorted by position, 10° ≤ 2θ ≤ 90°:
2θ = 23.69°, I 55.8; 2θ = 31.98°, I 100.0; 2θ = 34.19°, I 91.8; 2θ = 41.29°, I 90.4; 2θ = 50.39°, I 13.9; 2θ = 53.16°, I 23.9; 2θ = 54.65°, I 24.4; 2θ = 56.14°, I 15.0; 2θ = 64.21°, I 30.1; 2θ = 69.45°, I 21.3; 2θ = 70.74°, I 22.7; 2θ = 75.28°, I 15.2

=====

6.
# Ac16Co3Pt5
Computed powder diffraction line list, Cu Kα (weighted mean of Kα1 and Kα2). Input: the GGA-PBE geometry in Alexandria.
Peak positions follow from Bragg's law for the DFT cell and can differ from measured ones.

Structural model:
Lattice parameters (Å, degrees): 8.680 8.680 14.003 90.01 90.01 59.57
Positions (direct):
Ac  0.000  0.000  0.000
Ac  0.015  0.518  0.998
Ac  0.162  0.690  0.497
Ac  0.163  0.163  0.500
Ac  0.321  0.859  0.740
Ac  0.331  0.331  0.741
Ac  0.338  0.820  0.235
Ac  0.350  0.350  0.235
Ac  0.500  0.500  0.003
Ac  0.518  0.015  0.998
Ac  0.676  0.676  0.491
Ac  0.690  0.162  0.497
Ac  0.820  0.338  0.235
Ac  0.847  0.847  0.228
Ac  0.847  0.847  0.732
Ac  0.859  0.321  0.740
Co  0.007  0.007  0.620
Co  0.175  0.672  0.117
Co  0.672  0.175  0.117
Pt  0.005  0.506  0.614
Pt  0.174  0.174  0.877
Pt  0.505  0.505  0.375
Pt  0.506  0.005  0.614
Pt  0.674  0.674  0.114

Largest 12 diffraction maxima, sorted by position, 10° ≤ 2θ ≤ 90°:
2θ = 13.39°, I 27.5; 2θ = 25.44°, I 22.2; 2θ = 26.88°, I 47.5; 2θ = 27.02°, I 100.0; 2θ = 30.50°, I 24.1; 2θ = 30.62°, I 47.4; 2θ = 40.17°, I 28.7; 2θ = 41.62°, I 46.2; 2θ = 41.90°, I 23.5; 2θ = 45.79°, I 31.7; 2θ = 50.49°, I 16.6; 2θ = 68.93°, I 18.9

=====

7.
# Th2ZnHg3
Computed powder diffraction line list, Cu Kα (weighted mean of Kα1 and Kα2). Input: the GGA-PBE geometry in Alexandria.
Peak positions follow from Bragg's law for the DFT cell and can differ from measured ones.

Structural model:
Lattice parameters (Å, degrees): 9.896 9.251 6.048 77.50 65.87 36.63
Positions (direct):
Th  0.247  0.753  0.753
Th  0.250  0.250  0.250
Th  0.750  0.750  0.750
Th  0.753  0.247  0.247
Zn  0.333  0.333  0.667
Zn  0.667  0.667  0.333
Hg  0.171  0.171  0.829
Hg  0.172  0.657  0.343
Hg  0.343  0.828  0.172
Hg  0.657  0.172  0.828
Hg  0.828  0.343  0.657
Hg  0.829  0.829  0.171

Largest 12 diffraction maxima, sorted by position, 10° ≤ 2θ ≤ 90°:
2θ = 22.04°, I 4.5; 2θ = 33.16°, I 100.0; 2θ = 36.32°, I 79.8; 2θ = 49.99°, I 32.0; 2θ = 52.60°, I 9.5; 2θ = 63.34°, I 31.6; 2θ = 65.34°, I 14.4; 2θ = 65.60°, I 29.2; 2θ = 77.11°, I 9.0; 2θ = 86.55°, I 13.7; 2θ = 87.02°, I 7.2; 2θ = 88.59°, I 13.5

=====

8.
# Sr7SI12
Computed powder diffraction line list, Cu Kα (weighted mean of Kα1 and Kα2). Input: the GGA-PBE geometry in Alexandria.
Peak positions follow from Bragg's law for the DFT cell and can differ from measured ones.

Structural model:
Lattice parameters (Å, degrees): 10.421 10.421 10.421 106.83 106.83 106.83
Positions (direct):
Sr  0.000  0.000  0.000
Sr  0.170  0.387  0.473
Sr  0.387  0.473  0.170
Sr  0.473  0.170  0.387
Sr  0.527  0.830  0.613
Sr  0.613  0.527  0.830
Sr  0.830  0.613  0.527
S  0.500  0.500  0.500
I  0.046  0.347  0.128
I  0.128  0.046  0.347
I  0.183  0.719  0.573
I  0.281  0.427  0.817
I  0.347  0.128  0.046
I  0.427  0.817  0.281
I  0.573  0.183  0.719
I  0.653  0.872  0.954
I  0.719  0.573  0.183
I  0.817  0.281  0.427
I  0.872  0.954  0.653
I  0.954  0.653  0.872

Largest 12 diffraction maxima, sorted by position, 10° ≤ 2θ ≤ 90°:
2θ = 14.37°, I 9.8; 2θ = 22.78°, I 9.3; 2θ = 23.40°, I 29.0; 2θ = 26.90°, I 100.0; 2θ = 38.02°, I 38.3; 2θ = 38.80°, I 37.2; 2θ = 45.47°, I 8.6; 2θ = 47.85°, I 20.2; 2θ = 55.45°, I 12.3; 2θ = 62.14°, I 17.1; 2θ = 63.23°, I 16.8; 2θ = 69.73°, I 12.1

=====

Repeat the seventh record exactly.
# Th2ZnHg3
Computed powder diffraction line list, Cu Kα (weighted mean of Kα1 and Kα2). Input: the GGA-PBE geometry in Alexandria.
Peak positions follow from Bragg's law for the DFT cell and can differ from measured ones.

Structural model:
Lattice parameters (Å, degrees): 9.896 9.251 6.048 77.50 65.87 36.63
Positions (direct):
Th  0.247  0.753  0.753
Th  0.250  0.250  0.250
Th  0.750  0.750  0.750
Th  0.753  0.247  0.247
Zn  0.333  0.333  0.667
Zn  0.667  0.667  0.333
Hg  0.171  0.171  0.829
Hg  0.172  0.657  0.343
Hg  0.343  0.828  0.172
Hg  0.657  0.172  0.828
Hg  0.828  0.343  0.657
Hg  0.829  0.829  0.171

Largest 12 diffraction maxima, sorted by position, 10° ≤ 2θ ≤ 90°:
2θ = 22.04°, I 4.5; 2θ = 33.16°, I 100.0; 2θ = 36.32°, I 79.8; 2θ = 49.99°, I 32.0; 2θ = 52.60°, I 9.5; 2θ = 63.34°, I 31.6; 2θ = 65.34°, I 14.4; 2θ = 65.60°, I 29.2; 2θ = 77.11°, I 9.0; 2θ = 86.55°, I 13.7; 2θ = 87.02°, I 7.2; 2θ = 88.59°, I 13.5

=====

Repeat the first record exactly.
# DyHfTa
Computed powder diffraction line list, Cu Kα (weighted mean of Kα1 and Kα2). Input: the GGA-PBE geometry in Alexandria.
Peak positions follow from Bragg's law for the DFT cell and can differ from measured ones.

Structural model:
Lattice parameters (Å, degrees): 15.371 15.371 15.371 12.23 12.23 12.23
Positions (direct):
Dy  0.132  0.132  0.132
Dy  0.868  0.868  0.868
Hf  0.406  0.406  0.406
Hf  0.594  0.594  0.594
Ta  0.311  0.311  0.311
Ta  0.689  0.689  0.689

Largest 12 diffraction maxima, sorted by position, 10° ≤ 2θ ≤ 90°:
2θ = 29.27°, I 14.6; 2θ = 32.53°, I 51.7; 2θ = 34.47°, I 57.1; 2θ = 35.30°, I 18.5; 2θ = 37.30°, I 24.5; 2θ = 38.41°, I 100.0; 2θ = 41.44°, I 11.7; 2θ = 54.72°, I 24.0; 2θ = 56.17°, I 38.1; 2θ = 68.11°, I 16.4; 2θ = 70.11°, I 17.3; 2θ = 72.16°, I 15.3